Entry 1:
Diffraction record for Pr2PF3. The powder X-ray diffraction pattern is theoretical, not measured: it uses a PBE-relaxed structure and CuKα.
Peak positions follow from Bragg's law for the DFT cell and can differ from measured ones.

Largest 10 diffraction maxima, low angle first, 2θ from 5° to 70°:
Position (°2θ)	d [Å]	I/Imax
23.4	3.806	47
25.1	3.551	100
26.6	3.352	89
30.1	2.970	60
32.1	2.786	47
43.7	2.072	36
45.5	1.992	35
45.7	1.983	30
52.9	1.730	30
69.7	1.349	30

Cell and atoms:
a b c (Å): 7.8675 7.8675 8.0363
angles (deg): 117.06 117.06 29.20
Fractional coordinates of all 12 atoms:
Pr 0.0174 0.0174 0.2286
Pr 0.2848 0.2848 0.2849
Pr 0.7152 0.7152 0.7151
Pr 0.9826 0.9826 0.7714
P 0.3709 0.3709 0.9481
P 0.6291 0.6291 0.0519
F 0.1110 0.1110 0.6838
F 0.1902 0.1902 0.4601
F 0.4412 0.4412 0.5849
F 0.5588 0.5588 0.4151
F 0.8098 0.8098 0.5399
F 0.8890 0.8890 0.3162

Entry 2:
Diffraction record for PPt2SeF. The powder X-ray diffraction pattern is theoretical, not measured: it uses a PBE-relaxed structure and CuKα.
Peak positions follow from Bragg's law for the DFT cell and can differ from measured ones.

Largest 10 diffraction maxima, low angle first, 2θ from 5° to 70°:
Position (°2θ)	d [Å]	I/Imax
18.3	4.855	54
28.2	3.166	24
33.8	2.652	100
37.0	2.427	25
40.3	2.238	40
44.6	2.033	23
55.9	1.646	31
58.3	1.583	13
64.7	1.441	15
69.1	1.359	25

Cell and atoms:
a b c (Å): 4.4770 4.4770 4.8548
angles (deg): 90.00 90.00 90.00
Fractional coordinates of all 5 atoms:
P 0.0000 0.0000 0.0000
Pt 0.0000 0.5000 0.0000
Pt 0.5000 0.0000 0.0000
Se 0.0000 0.0000 0.5000
F 0.5000 0.5000 0.5000

Entry 3:
Diffraction record for Pu2PF2. The powder X-ray diffraction pattern is theoretical, not measured: it uses a PBE-relaxed structure and CuKα.
Peak positions follow from Bragg's law for the DFT cell and can differ from measured ones.

Largest 10 diffraction maxima, low angle first, 2θ from 5° to 70°:
Position (°2θ)	d [Å]	I/Imax
11.3	7.821	16
22.7	3.911	50
26.9	3.320	72
30.7	2.912	33
32.8	2.729	100
46.9	1.936	39
47.3	1.923	32
50.7	1.800	22
52.8	1.735	33
58.4	1.579	19

Cell and atoms:
a b c (Å): 3.8729 3.8729 23.4634
angles (deg): 90.00 90.00 120.00
Fractional coordinates of all 15 atoms:
Pu 0.0000 0.0000 0.0945
Pu 0.0000 0.0000 0.9055
Pu 0.3333 0.6667 0.5722
Pu 0.3333 0.6667 0.7611
Pu 0.6667 0.3333 0.2389
Pu 0.6667 0.3333 0.4278
P 0.0000 0.0000 0.5000
P 0.3333 0.6667 0.1667
P 0.6667 0.3333 0.8333
F 0.0000 0.0000 0.2829
F 0.0000 0.0000 0.7171
F 0.3333 0.6667 0.3838
F 0.3333 0.6667 0.9495
F 0.6667 0.3333 0.0505
F 0.6667 0.3333 0.6162

Entry 4:
Diffraction record for Rb2PF5. The powder X-ray diffraction pattern is theoretical, not measured: it uses a PBE-relaxed structure and CuKα.
Peak positions follow from Bragg's law for the DFT cell and can differ from measured ones.

Largest 10 diffraction maxima, low angle first, 2θ from 5° to 70°:
Position (°2θ)	d [Å]	I/Imax
17.9	4.945	39
20.0	4.450	47
28.4	3.146	36
30.0	2.974	100
36.3	2.472	81
40.5	2.225	45
45.4	1.999	16
45.6	1.990	15
51.3	1.781	36
62.5	1.487	20

Cell and atoms:
a b c (Å): 6.2928 6.2928 7.9955
angles (deg): 90.00 90.00 90.00
Fractional coordinates of all 16 atoms:
Rb 0.0000 0.5000 0.0000
Rb 0.0000 0.5000 0.5000
Rb 0.5000 0.0000 0.0000
Rb 0.5000 0.0000 0.5000
P 0.0000 0.0000 0.2699
P 0.5000 0.5000 0.7699
F 0.0000 0.0000 0.0617
F 0.2095 0.2095 0.2471
F 0.2095 0.7905 0.2471
F 0.2905 0.2905 0.7471
F 0.2905 0.7095 0.7471
F 0.5000 0.5000 0.5617
F 0.7095 0.2905 0.7471
F 0.7095 0.7095 0.7471
F 0.7905 0.2095 0.2471
F 0.7905 0.7905 0.2471

Entry 5:
Diffraction record for RbPF5. The powder X-ray diffraction pattern is theoretical, not measured: it uses a PBE-relaxed structure and CuKα.
Peak positions follow from Bragg's law for the DFT cell and can differ from measured ones.

Largest 10 diffraction maxima, low angle first, 2θ from 5° to 70°:
Position (°2θ)	d [Å]	I/Imax
13.2	6.712	69
19.4	4.572	85
25.3	3.520	72
25.6	3.483	100
26.2	3.404	30
30.3	2.954	29
30.7	2.913	25
37.1	2.426	43
43.4	2.085	35
43.6	2.077	25

Cell and atoms:
a b c (Å): 7.3273 7.3273 5.9083
angles (deg): 113.25 113.25 77.21
Fractional coordinates of all 14 atoms:
Rb 0.1790 0.8210 0.5000
Rb 0.8210 0.1790 0.0000
P 0.9998 0.4985 0.7510
P 0.4985 0.9998 0.2510
F 0.0362 0.2521 0.5855
F 0.0947 0.4539 0.0380
F 0.2521 0.0362 0.0855
F 0.4539 0.0947 0.5380
F 0.4676 0.7779 0.2174
F 0.5439 0.9135 0.9648
F 0.7460 0.9706 0.4169
F 0.7779 0.4676 0.7174
F 0.9135 0.5439 0.4648
F 0.9706 0.7460 0.9169

Entry 6:
Diffraction record for Rb2PF7. The powder X-ray diffraction pattern is theoretical, not measured: it uses a PBE-relaxed structure and CuKα.
Peak positions follow from Bragg's law for the DFT cell and can differ from measured ones.

Largest 10 diffraction maxima, low angle first, 2θ from 5° to 70°:
Position (°2θ)	d [Å]	I/Imax
17.3	5.139	20
20.0	4.450	11
28.4	3.147	100
34.9	2.569	35
40.5	2.225	37
45.6	1.990	16
50.2	1.817	25
58.7	1.573	17
62.6	1.483	11
66.4	1.407	25

Cell and atoms:
a b c (Å): 6.2938 6.2938 6.2938
angles (deg): 60.00 60.00 60.00
Fractional coordinates of all 10 atoms:
Rb 0.2500 0.2500 0.2500
Rb 0.7500 0.7500 0.7500
P 0.0000 0.0000 0.0000
F 0.1842 0.1842 0.8158
F 0.1842 0.8158 0.1842
F 0.1842 0.8158 0.8158
F 0.5000 0.5000 0.5000
F 0.8158 0.1842 0.1842
F 0.8158 0.1842 0.8158
F 0.8158 0.8158 0.1842